Record 1
Starting from a PBE-relaxed structure, the powder X-ray diffraction pattern of Ba2NaFe6As6 was simulated for Cu Kα.
Lines closer than 0.1° are merged.

Largest 12 diffraction maxima, sorted by position, 2θ from 10° to 90°:
| 2θ/deg | Rel. int. |
| --- | --- |
| 13.8 | 17 |
| 31.0 | 100 |
| 35.1 | 16 |
| 35.5 | 16 |
| 43.0 | 8 |
| 43.3 | 7 |
| 46.4 | 36 |
| 54.0 | 19 |
| 54.3 | 19 |
| 56.5 | 17 |
| 57.1 | 17 |
| 76.3 | 7 |

Crystal structure
a b c (Å): 8.8028 8.8028 6.9976
angles (deg): 112.20 112.20 36.42
Fractional coordinates of all 15 atoms:
Ba 0.1620 0.1620 0.0003
Ba 0.8380 0.8380 0.9997
Na 0.5000 0.5000 0.0000
Fe 0.0833 0.5834 0.4990
Fe 0.2487 0.7513 0.5000
Fe 0.4166 0.9167 0.5010
Fe 0.5834 0.0833 0.4990
Fe 0.7513 0.2487 0.5000
Fe 0.9167 0.4166 0.5010
As 0.0509 0.0509 0.3011
As 0.2831 0.2831 0.6956
As 0.3834 0.3834 0.3012
As 0.6166 0.6166 0.6988
As 0.7169 0.7169 0.3044
As 0.9491 0.9491 0.6989



Record 2
Starting from a PBE-relaxed structure, the powder X-ray diffraction pattern of BaFeAs2Ru was simulated for Cu Kα.
Lines closer than 0.1° are merged.

Largest 12 diffraction maxima, sorted by position, 2θ from 10° to 90°:
| 2θ/deg | Rel. int. |
| --- | --- |
| 14.0 | 14 |
| 28.2 | 11 |
| 30.4 | 100 |
| 34.1 | 55 |
| 42.3 | 12 |
| 44.2 | 44 |
| 53.8 | 43 |
| 54.6 | 38 |
| 64.3 | 14 |
| 74.8 | 11 |
| 88.6 | 21 |
| 89.3 | 10 |

Crystal structure
a b c (Å): 6.9549 6.9549 6.9549
angles (deg): 145.76 145.76 49.21
Fractional coordinates of all 5 atoms:
Ba 0.0000 0.0000 0.0000
Fe 0.7500 0.2500 0.5000
As 0.3490 0.3490 0.0000
As 0.6510 0.6510 0.0000
Ru 0.2500 0.7500 0.5000



Record 3
Starting from a PBE-relaxed structure, the powder X-ray diffraction pattern of Ba3GaAs3 was simulated for Cu Kα.
Lines closer than 0.1° are merged.

Largest 12 diffraction maxima, sorted by position, 2θ from 10° to 90°:
| 2θ/deg | Rel. int. |
| --- | --- |
| 22.6 | 38 |
| 25.9 | 57 |
| 26.2 | 83 |
| 26.4 | 100 |
| 28.2 | 25 |
| 29.9 | 24 |
| 30.7 | 23 |
| 37.2 | 70 |
| 37.4 | 81 |
| 37.6 | 100 |
| 46.2 | 40 |
| 67.8 | 26 |

Crystal structure
a b c (Å): 13.5906 20.2364 6.8741
angles (deg): 90.00 90.00 90.00
Fractional coordinates of all 56 atoms:
Ba 0.0113 0.0748 0.2255
Ba 0.0113 0.4252 0.2255
Ba 0.0208 0.2500 0.8368
Ba 0.2315 0.2500 0.3139
Ba 0.2340 0.0742 0.6883
Ba 0.2340 0.4258 0.6883
Ba 0.2660 0.5742 0.1883
Ba 0.2660 0.9258 0.1883
Ba 0.2685 0.7500 0.8139
Ba 0.4792 0.7500 0.3368
Ba 0.4887 0.5748 0.7255
Ba 0.4887 0.9252 0.7255
Ba 0.5113 0.0748 0.2745
Ba 0.5113 0.4252 0.2745
Ba 0.5208 0.2500 0.6632
Ba 0.7315 0.2500 0.1861
Ba 0.7340 0.0742 0.8117
Ba 0.7340 0.4258 0.8117
Ba 0.7660 0.5742 0.3117
Ba 0.7660 0.9258 0.3117
Ba 0.7685 0.7500 0.6861
Ba 0.9792 0.7500 0.1632
Ba 0.9887 0.5748 0.7745
Ba 0.9887 0.9252 0.7745
Ga 0.1274 0.6651 0.4830
Ga 0.1274 0.8349 0.4830
Ga 0.3726 0.1651 0.9830
Ga 0.3726 0.3349 0.9830
Ga 0.6274 0.6651 0.0170
Ga 0.6274 0.8349 0.0170
Ga 0.8726 0.1651 0.5170
Ga 0.8726 0.3349 0.5170
As 0.0165 0.5915 0.2736
As 0.0165 0.9085 0.2736
As 0.0224 0.7500 0.6742
As 0.2292 0.7500 0.2937
As 0.2404 0.5925 0.6923
As 0.2404 0.9075 0.6923
As 0.2596 0.0925 0.1923
As 0.2596 0.4075 0.1923
As 0.2708 0.2500 0.7937
As 0.4776 0.2500 0.1742
As 0.4835 0.0915 0.7736
As 0.4835 0.4085 0.7736
As 0.5165 0.5915 0.2264
As 0.5165 0.9085 0.2264
As 0.5224 0.7500 0.8258
As 0.7292 0.7500 0.2063
As 0.7404 0.5925 0.8077
As 0.7404 0.9075 0.8077
As 0.7596 0.0925 0.3077
As 0.7596 0.4075 0.3077
As 0.7708 0.2500 0.7063
As 0.9776 0.2500 0.3258
As 0.9835 0.0915 0.7264
As 0.9835 0.4085 0.7264



Record 4
Starting from a PBE-relaxed structure, the powder X-ray diffraction pattern of Ba7Ga4As9 was simulated for Cu Kα.
Lines closer than 0.1° are merged.

Largest 12 diffraction maxima, sorted by position, 2θ from 10° to 90°:
| 2θ/deg | Rel. int. |
| --- | --- |
| 25.8 | 50 |
| 26.6 | 18 |
| 27.0 | 100 |
| 30.2 | 35 |
| 31.6 | 42 |
| 33.1 | 40 |
| 35.0 | 36 |
| 37.7 | 53 |
| 41.8 | 25 |
| 48.7 | 20 |
| 53.6 | 14 |
| 64.5 | 13 |

Crystal structure
a b c (Å): 10.2618 17.2810 6.9153
angles (deg): 90.00 90.00 90.00
Fractional coordinates of all 40 atoms:
Ba 0.0266 0.1250 0.0547
Ba 0.0266 0.3750 0.0547
Ba 0.2500 0.0349 0.5487
Ba 0.2500 0.4651 0.5487
Ba 0.2500 0.7500 0.5923
Ba 0.4734 0.1250 0.0547
Ba 0.4734 0.3750 0.0547
Ba 0.5266 0.6250 0.9453
Ba 0.5266 0.8750 0.9453
Ba 0.7500 0.2500 0.4077
Ba 0.7500 0.5349 0.4513
Ba 0.7500 0.9651 0.4513
Ba 0.9734 0.6250 0.9453
Ba 0.9734 0.8750 0.9453
Ga 0.0751 0.2500 0.5701
Ga 0.2500 0.6256 0.2348
Ga 0.2500 0.8744 0.2348
Ga 0.4249 0.2500 0.5701
Ga 0.5751 0.7500 0.4299
Ga 0.7500 0.1256 0.7652
Ga 0.7500 0.3744 0.7652
Ga 0.9249 0.7500 0.4299
As 0.0414 0.6211 0.4417
As 0.0414 0.8789 0.4417
As 0.2500 0.2500 0.3012
As 0.2500 0.2500 0.8383
As 0.2500 0.5119 0.0201
As 0.2500 0.7500 0.0457
As 0.2500 0.9881 0.0201
As 0.4586 0.6211 0.4417
As 0.4586 0.8789 0.4417
As 0.5414 0.1211 0.5583
As 0.5414 0.3789 0.5583
As 0.7500 0.0119 0.9799
As 0.7500 0.2500 0.9543
As 0.7500 0.4881 0.9799
As 0.7500 0.7500 0.1617
As 0.7500 0.7500 0.6988
As 0.9586 0.1211 0.5583
As 0.9586 0.3789 0.5583